1.
Ho5TcAu2: simulated powder XRD pattern (Cu Kα (λ = 1.5418 Å)), based on a PBE-relaxed structure.

Crystal structure
```
Ho5TcAu2
1.0
7.0796 0.0000 0.0000
0.0000 11.7680 0.0000
0.0000 0.0000 4.7608
Ho Tc Au
10 2 4
direct
0.0000 0.0000 0.0000 Ho
0.1515 0.2910 0.0000 Ho
0.1781 0.5878 0.5000 Ho
0.3219 0.0878 0.5000 Ho
0.3485 0.7910 0.0000 Ho
0.5000 0.5000 0.0000 Ho
0.6515 0.2090 0.0000 Ho
0.6781 0.9122 0.5000 Ho
0.8219 0.4122 0.5000 Ho
0.8485 0.7090 0.0000 Ho
0.0000 0.5000 0.0000 Tc
0.5000 0.0000 0.0000 Tc
0.0773 0.8404 0.5000 Au
0.4227 0.3404 0.5000 Au
0.5773 0.6596 0.5000 Au
0.9227 0.1596 0.5000 Au
```

Most intense lines, 10° ≤ 2θ ≤ 90°, in order of rising 2θ:
- d = 3.280 Å, I 15.9
- d = 2.784 Å, I 57.1
- d = 2.761 Å, I 100.0
- d = 2.717 Å, I 34.9
- d = 2.628 Å, I 23.5
- d = 2.558 Å, I 47.5
- d = 2.503 Å, I 59.1
- d = 2.380 Å, I 56.9
- d = 1.790 Å, I 20.6
- d = 1.573 Å, I 15.4



2.
HoTlTe2Au: simulated powder XRD pattern (Cu Kα (λ = 1.5418 Å)), based on a PBE-relaxed structure.

Crystal structure
```
HoTlTe2Au
1.0
8.7008 0.0000 0.0000
0.0000 4.8090 0.0000
-1.2111 0.0000 7.9354
Ho Tl Te Au
2 2 4 2
direct
0.0000 0.0009 0.2500 Ho
0.0000 0.9991 0.7500 Ho
0.5000 0.3334 0.2500 Tl
0.5000 0.6666 0.7500 Tl
0.2550 0.1650 0.5434 Te
0.2550 0.8350 0.0434 Te
0.7450 0.1650 0.9566 Te
0.7450 0.8350 0.4566 Te
0.0000 0.5000 0.0000 Au
0.0000 0.5000 0.5000 Au
```

Most intense lines, 10° ≤ 2θ ≤ 90°, in order of rising 2θ:
- d = 8.601 Å, I 57.1
- d = 4.301 Å, I 50.4
- d = 3.829 Å, I 52.2
- d = 3.602 Å, I 98.5
- d = 2.996 Å, I 68.8
- d = 2.783 Å, I 100.0
- d = 2.316 Å, I 91.7
- d = 2.226 Å, I 50.9
- d = 2.150 Å, I 56.1
- d = 1.983 Å, I 51.2



3.
Ho5ThAu4: simulated powder XRD pattern (Cu Kα (λ = 1.5418 Å)), based on a PBE-relaxed structure.

Crystal structure
```
Ho5ThAu4
1.0
3.5736 0.0000 0.0000
0.0000 3.5736 0.0000
0.0000 0.0000 19.2886
Ho Th Au
5 1 4
direct
0.0000 0.0000 0.0000 Ho
0.0000 0.0000 0.1878 Ho
0.0000 0.0000 0.3727 Ho
0.0000 0.0000 0.6273 Ho
0.0000 0.0000 0.8122 Ho
0.5000 0.5000 0.5000 Th
0.5000 0.5000 0.0931 Au
0.5000 0.5000 0.2806 Au
0.5000 0.5000 0.7194 Au
0.5000 0.5000 0.9069 Au
```

Most intense lines, 10° ≤ 2θ ≤ 90°, in order of rising 2θ:
- d = 2.871 Å, I 7.5
- d = 2.622 Å, I 100.0
- d = 2.527 Å, I 58.2
- d = 2.390 Å, I 15.7
- d = 1.787 Å, I 20.9
- d = 1.533 Å, I 8.8
- d = 1.476 Å, I 35.0
- d = 1.441 Å, I 9.3
- d = 1.138 Å, I 7.8
- d = 1.130 Å, I 9.9



Please write out number 3 again, unchanged.
Ho5ThAu4: simulated powder XRD pattern (Cu Kα (λ = 1.5418 Å)), based on a PBE-relaxed structure.

Crystal structure
```
Ho5ThAu4
1.0
3.5736 0.0000 0.0000
0.0000 3.5736 0.0000
0.0000 0.0000 19.2886
Ho Th Au
5 1 4
direct
0.0000 0.0000 0.0000 Ho
0.0000 0.0000 0.1878 Ho
0.0000 0.0000 0.3727 Ho
0.0000 0.0000 0.6273 Ho
0.0000 0.0000 0.8122 Ho
0.5000 0.5000 0.5000 Th
0.5000 0.5000 0.0931 Au
0.5000 0.5000 0.2806 Au
0.5000 0.5000 0.7194 Au
0.5000 0.5000 0.9069 Au
```

Most intense lines, 10° ≤ 2θ ≤ 90°, in order of rising 2θ:
- d = 2.871 Å, I 7.5
- d = 2.622 Å, I 100.0
- d = 2.527 Å, I 58.2
- d = 2.390 Å, I 15.7
- d = 1.787 Å, I 20.9
- d = 1.533 Å, I 8.8
- d = 1.476 Å, I 35.0
- d = 1.441 Å, I 9.3
- d = 1.138 Å, I 7.8
- d = 1.130 Å, I 9.9